Starting from DFT lattice parameters and positions (GGA-PBE), the powder X-ray diffraction pattern of Ba2Sn2Au3 was calculated for Cu Ka.

The 12 most intense peaks (2θ from 15° to 90°), sorted by position:
2θ = 22.6°, I = 360; 2θ = 26.2°, I = 354; 2θ = 29.3°, I = 518; 2θ = 32.2°, I = 847; 2θ = 34.9°, I = 591; 2θ = 37.4°, I = 1000; 2θ = 39.7°, I = 268; 2θ = 48.2°, I = 271; 2θ = 53.9°, I = 630; 2θ = 64.2°, I = 489; 2θ = 67.4°, I = 202; 2θ = 88.5°, I = 243

```
data_Ba2Sn2Au3
_cell_length_a 8.339
_cell_length_b 8.339
_cell_length_c 8.339
_cell_angle_alpha 109.47
_cell_angle_beta 109.47
_cell_angle_gamma 109.47
_symmetry_space_group_name_H-M 'P 1'
_symmetry_Int_Tables_number 1
loop_
_symmetry_equiv_pos_as_xyz
'x,y,z'
loop_
_atom_site_label
_atom_site_fract_x
_atom_site_fract_y
_atom_site_fract_z
Ba1 0.000 0.992 0.500
Ba2 0.500 0.000 0.992
Ba3 0.508 0.508 0.508
Ba4 0.992 0.500 0.000
Sn1 0.000 0.565 0.500
Sn2 0.500 0.000 0.565
Sn3 0.565 0.500 0.000
Sn4 0.935 0.935 0.935
Au1 0.248 0.998 0.250
Au2 0.250 0.248 0.998
Au3 0.252 0.502 0.750
Au4 0.502 0.750 0.252
Au5 0.750 0.252 0.502
Au6 0.998 0.250 0.248
```